1.
Diffraction record for SmDyEr14. The X-ray powder pattern is theoretical, not measured: it uses a cell relaxed with GGA-PBE and Cu Kα X-rays.

Most intense lines, 2θ from 5° to 70°, sorted by position:
2θ/deg, Rel. int.
30.25, 41.9
31.52, 33.9
33.26, 100.0
37.81, 23.1
51.75, 25.6
61.86, 29.9

```
data_SmDyEr14
_symmetry_space_group_name_H-M 'A m m 2'
_symmetry_Int_Tables_number 38
_cell_length_a 11.352
_cell_length_b 7.069
_cell_length_c 12.235
_cell_angle_alpha 90.00
_cell_angle_beta 90.00
_cell_angle_gamma 90.00
loop_
_symmetry_equiv_pos_as_xyz
'x,y,z'
'-x,-y,z'
'-x,y,z'
'x,-y,z'
'x,y+1/2,z+1/2'
'-x,-y+1/2,z+1/2'
'-x,y+1/2,z+1/2'
'x,-y+1/2,z+1/2'
loop_
_atom_site_label
_atom_site_fract_x
_atom_site_fract_y
_atom_site_fract_z
_atom_site_occupancy
Sm1 0.000 0.000 0.000 1
Dy1 0.000 0.000 0.500 1
Er1 0.000 0.250 0.250 1
Er2 0.250 0.000 0.667 1
Er3 0.251 0.000 0.167 1
Er4 0.252 0.250 0.417 1
Er5 0.500 0.000 0.334 1
Er6 0.500 0.000 0.834 1
Er7 0.500 0.250 0.084 1
```

***

2.
Diffraction record for CuP4S3Br. The X-ray powder pattern is theoretical, not measured: it uses a cell relaxed with GGA-PBE and Cu Kα X-rays.

Most intense lines, 2θ from 5° to 70°, sorted by position:
2θ/deg, Rel. int.
5.23, 100.0
10.58, 17.7
11.73, 13.4
17.51, 8.7
19.81, 10.3
28.64, 7.8

```
data_CuP4S3Br
_symmetry_space_group_name_H-M 'P -1'
_symmetry_Int_Tables_number 2
_cell_length_a 6.763
_cell_length_b 9.515
_cell_length_c 17.114
_cell_angle_alpha 95.10
_cell_angle_beta 95.32
_cell_angle_gamma 108.23
loop_
_symmetry_equiv_pos_as_xyz
'x,y,z'
'-x,-y,-z'
loop_
_atom_site_label
_atom_site_fract_x
_atom_site_fract_y
_atom_site_fract_z
_atom_site_occupancy
Cu1 0.055 0.132 0.314 1
Cu2 0.322 0.652 0.580 1
P1 0.053 0.906 0.343 1
P2 0.122 0.430 0.610 1
P3 0.165 0.356 0.036 1
P4 0.170 0.205 0.200 1
P5 0.174 0.596 0.331 1
P6 0.192 0.694 0.460 1
P7 0.387 0.136 0.124 1
P8 0.492 0.366 0.195 1
S1 0.031 0.729 0.879 1
S2 0.192 0.780 0.270 1
S3 0.223 0.919 0.455 1
S4 0.234 0.262 0.647 1
S5 0.281 0.175 0.011 1
S6 0.428 0.503 0.113 1
Br1 0.298 0.850 0.679 1
Br2 0.302 0.312 0.421 1
```

***

3.
Diffraction record for NdTmPd2. The X-ray powder pattern is theoretical, not measured: it uses a cell relaxed with GGA-PBE and Cu Kα X-rays.

Most intense lines, 2θ from 5° to 70°, sorted by position:
2θ/deg, Rel. int.
31.76, 100.0
33.66, 30.7
34.62, 21.4
39.29, 32.3
39.97, 64.4
48.01, 18.2

```
data_NdTmPd2
_symmetry_space_group_name_H-M 'A m m 2'
_symmetry_Int_Tables_number 38
_cell_length_a 4.586
_cell_length_b 3.790
_cell_length_c 10.649
_cell_angle_alpha 90.00
_cell_angle_beta 90.00
_cell_angle_gamma 90.00
loop_
_symmetry_equiv_pos_as_xyz
'x,y,z'
'-x,-y,z'
'-x,y,z'
'x,-y,z'
'x,y+1/2,z+1/2'
'-x,-y+1/2,z+1/2'
'-x,y+1/2,z+1/2'
'x,-y+1/2,z+1/2'
loop_
_atom_site_label
_atom_site_fract_x
_atom_site_fract_y
_atom_site_fract_z
_atom_site_occupancy
Nd1 0.000 0.000 0.000 1
Tm1 0.500 0.000 0.274 1
Pd1 0.000 0.000 0.727 1
Pd2 0.500 0.000 0.555 1
```

***

4.
Diffraction record for Li2Zn4Cu3. The X-ray powder pattern is theoretical, not measured: it uses a cell relaxed with GGA-PBE and Cu Kα X-rays.

Most intense lines, 2θ from 5° to 70°, sorted by position:
2θ/deg, Rel. int.
23.05, 7.1
27.05, 26.8
42.98, 100.0
43.05, 49.8
62.39, 15.7
62.54, 7.6

```
data_Li2Zn4Cu3
_symmetry_space_group_name_H-M 'C 1 2/m 1'
_symmetry_Int_Tables_number 12
_cell_length_a 7.285
_cell_length_b 4.213
_cell_length_c 7.718
_cell_angle_alpha 90.00
_cell_angle_beta 90.11
_cell_angle_gamma 90.00
loop_
_symmetry_equiv_pos_as_xyz
'x,y,z'
'-x,-y,-z'
'-x,y,-z'
'x,-y,z'
'x+1/2,y+1/2,z'
'-x+1/2,-y+1/2,-z'
'-x+1/2,y+1/2,-z'
'x+1/2,-y+1/2,z'
loop_
_atom_site_label
_atom_site_fract_x
_atom_site_fract_y
_atom_site_fract_z
_atom_site_occupancy
Li1 0.167 0.000 0.277 1
Zn1 0.000 0.500 0.165 1
Zn2 0.167 0.000 0.613 1
Cu1 0.000 0.500 0.500 1
Cu2 0.167 0.000 0.944 1
```

***

5.
Diffraction record for Sr2Li3NbN4. The X-ray powder pattern is theoretical, not measured: it uses a cell relaxed with GGA-PBE and Cu Kα X-rays.

Most intense lines, 2θ from 5° to 70°, sorted by position:
2θ/deg, Rel. int.
14.09, 34.2
22.15, 27.9
28.41, 36.1
32.22, 100.0
32.62, 66.8
33.96, 40.1

```
data_Sr2Li3NbN4
_symmetry_space_group_name_H-M 'P n n m'
_symmetry_Int_Tables_number 58
_cell_length_a 8.751
_cell_length_b 9.031
_cell_length_c 7.051
_cell_angle_alpha 90.00
_cell_angle_beta 90.00
_cell_angle_gamma 90.00
loop_
_symmetry_equiv_pos_as_xyz
'x,y,z'
'-x,-y,-z'
'-x,-y,z'
'x,y,-z'
'x+1/2,-y+1/2,-z+1/2'
'-x+1/2,y+1/2,z+1/2'
'-x+1/2,y+1/2,-z+1/2'
'x+1/2,-y+1/2,z+1/2'
loop_
_atom_site_label
_atom_site_fract_x
_atom_site_fract_y
_atom_site_fract_z
_atom_site_occupancy
Sr1 0.000 0.000 0.240 1
Sr2 0.241 0.248 0.500 1
Li1 0.019 0.635 0.260 1
Li2 0.205 0.579 0.500 1
Nb1 0.214 0.363 0.000 1
N1 0.046 0.217 0.000 1
N2 0.072 0.779 0.500 1
N3 0.198 0.482 0.235 1
```

***

6.
Diffraction record for In2HgSb2. The X-ray powder pattern is theoretical, not measured: it uses a cell relaxed with GGA-PBE and Cu Kα X-rays.

Most intense lines, 2θ from 5° to 70°, sorted by position:
2θ/deg, Rel. int.
28.29, 56.0
28.74, 100.0
34.94, 63.6
41.56, 27.6
45.55, 30.8
58.91, 26.4

```
data_In2HgSb2
_symmetry_space_group_name_H-M 'I 4/m m m'
_symmetry_Int_Tables_number 139
_symmetry_space_group_name_Hall '-I 4 2'
_cell_length_a 5.136
_cell_length_b 5.136
_cell_length_c 11.992
_cell_angle_alpha 90.00
_cell_angle_beta 90.00
_cell_angle_gamma 90.00
loop_
_atom_site_label
_atom_site_fract_x
_atom_site_fract_y
_atom_site_fract_z
_atom_site_occupancy
In1 0.000 0.000 0.118 1
Hg1 0.000 0.000 0.500 1
Sb1 0.000 0.500 0.250 1
```

***

7.
Diffraction record for Nd3Zn3Ge. The X-ray powder pattern is theoretical, not measured: it uses a cell relaxed with GGA-PBE and Cu Kα X-rays.

Most intense lines, 2θ from 5° to 70°, sorted by position:
2θ/deg, Rel. int.
31.56, 100.0
35.42, 16.1
38.49, 21.9
42.19, 16.5
44.11, 14.5
53.66, 16.7

```
data_Nd3Zn3Ge
_symmetry_space_group_name_H-M 'I m m 2'
_symmetry_Int_Tables_number 44
_cell_length_a 4.106
_cell_length_b 4.284
_cell_length_c 19.540
_cell_angle_alpha 90.00
_cell_angle_beta 90.00
_cell_angle_gamma 90.00
loop_
_symmetry_equiv_pos_as_xyz
'x,y,z'
'-x,-y,z'
'-x,y,z'
'x,-y,z'
'x+1/2,y+1/2,z+1/2'
'-x+1/2,-y+1/2,z+1/2'
'-x+1/2,y+1/2,z+1/2'
'x+1/2,-y+1/2,z+1/2'
loop_
_atom_site_label
_atom_site_fract_x
_atom_site_fract_y
_atom_site_fract_z
_atom_site_occupancy
Nd1 0.000 0.000 0.000 1
Nd2 0.000 0.000 0.373 1
Nd3 0.000 0.500 0.196 1
Zn1 0.000 0.000 0.552 1
Zn2 0.000 0.000 0.828 1
Zn3 0.000 0.500 0.624 1
Ge1 0.000 0.500 0.752 1
```

***

8.
Diffraction record for CaTb2Pm6Sm3. The X-ray powder pattern is theoretical, not measured: it uses a cell relaxed with GGA-PBE and Cu Kα X-rays.

Most intense lines, 2θ from 5° to 70°, sorted by position:
2θ/deg, Rel. int.
29.98, 100.0
30.22, 32.6
34.83, 66.9
49.93, 24.0
50.23, 23.7
59.48, 28.4

```
data_CaTb2Pm6Sm3
_symmetry_space_group_name_H-M 'C 1 2/m 1'
_symmetry_Int_Tables_number 12
_cell_length_a 6.327
_cell_length_b 10.962
_cell_length_c 12.016
_cell_angle_alpha 90.00
_cell_angle_beta 100.05
_cell_angle_gamma 90.00
loop_
_symmetry_equiv_pos_as_xyz
'x,y,z'
'-x,-y,-z'
'-x,y,-z'
'x,-y,z'
'x+1/2,y+1/2,z'
'-x+1/2,-y+1/2,-z'
'-x+1/2,y+1/2,-z'
'x+1/2,-y+1/2,z'
loop_
_atom_site_label
_atom_site_fract_x
_atom_site_fract_y
_atom_site_fract_z
_atom_site_occupancy
Ca1 0.000 0.000 0.000 1
Tb1 0.000 0.333 0.000 1
Pm1 0.245 0.330 0.749 1
Pm2 0.245 0.500 0.251 1
Sm1 0.000 0.166 0.500 1
Sm2 0.000 0.500 0.500 1
```

***

9.
Diffraction record for TmPa5. The X-ray powder pattern is theoretical, not measured: it uses a cell relaxed with GGA-PBE and Cu Kα X-rays.

Most intense lines, 2θ from 5° to 70°, sorted by position:
2θ/deg, Rel. int.
31.88, 32.1
32.09, 34.0
35.82, 100.0
45.86, 24.0
59.39, 20.6
59.64, 23.8

```
data_TmPa5
_symmetry_space_group_name_H-M 'C m m m'
_symmetry_Int_Tables_number 65
_symmetry_space_group_name_Hall '-C 2 2'
_cell_length_a 5.579
_cell_length_b 16.844
_cell_length_c 3.240
_cell_angle_alpha 90.00
_cell_angle_beta 90.00
_cell_angle_gamma 90.00
loop_
_atom_site_label
_atom_site_fract_x
_atom_site_fract_y
_atom_site_fract_z
_atom_site_occupancy
Tm1 0.000 0.000 0.000 1
Pa1 0.000 0.177 0.500 1
Pa2 0.000 0.340 0.000 1
Pa3 0.000 0.500 0.500 1
```

***

10.
Diffraction record for Pr2NpP3. The X-ray powder pattern is theoretical, not measured: it uses a cell relaxed with GGA-PBE and Cu Kα X-rays.

Most intense lines, 2θ from 5° to 70°, sorted by position:
2θ/deg, Rel. int.
26.47, 100.0
30.63, 73.1
30.73, 36.1
43.91, 80.9
51.96, 33.5
54.50, 28.5

```
data_Pr2NpP3
_symmetry_space_group_name_H-M 'I 4/m m m'
_symmetry_Int_Tables_number 139
_symmetry_space_group_name_Hall '-I 4 2'
_cell_length_a 4.128
_cell_length_b 4.128
_cell_length_c 17.459
_cell_angle_alpha 90.00
_cell_angle_beta 90.00
_cell_angle_gamma 90.00
loop_
_atom_site_label
_atom_site_fract_x
_atom_site_fract_y
_atom_site_fract_z
_atom_site_occupancy
Pr1 0.000 0.000 0.167 1
Np1 0.000 0.000 0.500 1
P1 0.000 0.000 0.000 1
P2 0.000 0.000 0.339 1
```

***

11.
Diffraction record for La3Tb2Nd8. The X-ray powder pattern is theoretical, not measured: it uses a cell relaxed with GGA-PBE and Cu Kα X-rays.

Most intense lines, 2θ from 5° to 70°, sorted by position:
2θ/deg, Rel. int.
29.45, 46.1
30.30, 100.0
30.47, 30.6
30.81, 60.5
31.68, 72.0
32.32, 39.4

```
data_La3Tb2Nd8
_symmetry_space_group_name_H-M 'P -1'
_symmetry_Int_Tables_number 2
_cell_length_a 6.441
_cell_length_b 6.843
_cell_length_c 21.196
_cell_angle_alpha 82.40
_cell_angle_beta 84.59
_cell_angle_gamma 89.20
loop_
_symmetry_equiv_pos_as_xyz
'x,y,z'
'-x,-y,-z'
loop_
_atom_site_label
_atom_site_fract_x
_atom_site_fract_y
_atom_site_fract_z
_atom_site_occupancy
La1 0.000 0.000 0.000 1
La2 0.000 0.500 0.500 1
La3 0.396 0.477 0.243 1
La4 0.448 0.033 0.747 1
Tb1 0.197 0.527 0.044 1
Tb2 0.212 0.943 0.539 1
Nd1 0.002 0.769 0.828 1
Nd2 0.038 0.852 0.334 1
Nd3 0.049 0.766 0.173 1
Nd4 0.148 0.621 0.682 1
Nd5 0.333 0.193 0.394 1
Nd6 0.341 0.397 0.900 1
Nd7 0.489 0.099 0.077 1
Nd8 0.493 0.332 0.579 1
```

***

12.
Diffraction record for MgTe2Pd7. The X-ray powder pattern is theoretical, not measured: it uses a cell relaxed with GGA-PBE and Cu Kα X-rays.

Most intense lines, 2θ from 5° to 70°, sorted by position:
2θ/deg, Rel. int.
22.36, 18.5
39.72, 100.0
44.87, 35.5
48.75, 13.4
65.32, 11.3
68.40, 19.0

```
data_MgTe2Pd7
_symmetry_space_group_name_H-M 'I 4/m m m'
_symmetry_Int_Tables_number 139
_symmetry_space_group_name_Hall '-I 4 2'
_cell_length_a 4.040
_cell_length_b 4.040
_cell_length_c 22.417
_cell_angle_alpha 90.00
_cell_angle_beta 90.00
_cell_angle_gamma 90.00
loop_
_atom_site_label
_atom_site_fract_x
_atom_site_fract_y
_atom_site_fract_z
_atom_site_occupancy
Mg1 0.000 0.000 0.000 1
Te1 0.000 0.000 0.334 1
Pd1 0.000 0.000 0.500 1
Pd2 0.000 0.500 0.087 1
Pd3 0.000 0.500 0.250 1
```